Entry 1:
The following is a calculated XRD peak list of La2Er17. It was derived from a PBE-relaxed structure, using Cu Kα X-rays.
Intensities are scaled so that the largest is 100.

Largest 6 diffraction maxima, sorted by position, 15° ≤ 2θ ≤ 90°:
d/Å	Position (°2θ)	intensity
3.270	27.3	19
3.227	27.6	20
2.856	31.3	21
2.835	31.6	100
2.808	31.9	31
2.537	35.4	56

Atomic structure:
```
La2Er17
1.0
5.663 3.270 5.712
-5.663 3.270 5.712
0.000 -6.539 5.712
La Er
2 17
Cartesian
0.000 0.000 2.852 La
0.000 0.000 14.285 La
-2.832 -1.635 5.712 Er
0.000 -3.334 5.308 Er
-2.887 1.667 5.308 Er
-1.687 -2.922 8.568 Er
-3.374 0.000 8.568 Er
-2.887 -1.667 11.829 Er
0.000 0.000 6.852 Er
-2.832 1.635 11.425 Er
1.687 -2.922 8.568 Er
0.000 3.270 5.712 Er
-1.687 2.922 8.568 Er
0.000 0.000 10.285 Er
2.887 1.667 5.308 Er
3.374 0.000 8.568 Er
1.687 2.922 8.568 Er
2.887 -1.667 11.829 Er
0.000 3.334 11.829 Er
```

Entry 2:
The following is a calculated XRD peak list of La3Er8. It was derived from a PBE-relaxed structure, using Cu Kα X-rays.
Intensities are scaled so that the largest is 100.

Largest 6 diffraction maxima, sorted by position, 15° ≤ 2θ ≤ 90°:
d/Å	Position (°2θ)	intensity
2.921	30.6	100
2.541	35.3	17
2.529	35.5	17
2.520	35.6	17
1.792	51.0	18
1.786	51.1	18

Atomic structure:
```
La3Er8
1.0
5.640 -2.529 0.000
5.640 2.529 0.000
-3.452 0.000 12.487
La Er
3 8
Cartesian
0.000 0.000 0.000 La
-1.157 0.000 7.969 La
8.985 0.000 4.518 La
1.092 0.000 3.407 Er
-0.059 0.000 11.351 Er
2.210 0.000 6.810 Er
4.498 0.000 2.258 Er
3.330 0.000 10.228 Er
5.618 0.000 5.676 Er
7.887 0.000 1.136 Er
6.736 0.000 9.079 Er
```

Entry 3:
The following is a calculated XRD peak list of Li2La2ErSn2. It was derived from a PBE-relaxed structure, using Cu Kα X-rays.
Intensities are scaled so that the largest is 100.

Largest 6 diffraction maxima, sorted by position, 15° ≤ 2θ ≤ 90°:
d/Å	Position (°2θ)	intensity
4.112	21.6	73
2.862	31.2	100
2.656	33.7	79
2.401	37.5	87
1.840	49.5	40
1.461	63.7	61

Atomic structure:
```
Li2La2ErSn2
1.0
2.401 1.386 9.207
-2.401 1.386 9.207
0.000 -2.772 9.207
Li La Er Sn
2 2 1 2
Cartesian
0.000 0.000 2.983 Li
0.000 0.000 24.640 Li
0.000 0.000 10.210 La
0.000 0.000 17.413 La
0.000 0.000 13.811 Er
0.000 0.000 6.367 Sn
0.000 0.000 21.255 Sn
```

Entry 4:
The following is a calculated XRD peak list of Li4LaEr3Te8. It was derived from a PBE-relaxed structure, using Cu Kα X-rays.
Intensities are scaled so that the largest is 100.

Largest 6 diffraction maxima, sorted by position, 15° ≤ 2θ ≤ 90°:
d/Å	Position (°2θ)	intensity
3.731	23.9	23
3.082	29.0	100
2.188	41.3	38
2.170	41.6	37
1.784	51.2	20
1.383	67.8	17

Atomic structure:
```
Li4LaEr3Te8
1.0
4.377 2.527 7.059
-4.377 2.527 7.059
0.000 -5.054 7.059
Li La Er Te
4 1 3 8
Cartesian
0.000 0.000 0.000 Li
-2.188 -1.263 7.059 Li
-2.188 1.263 14.118 Li
0.000 2.527 7.059 Li
0.000 0.000 10.588 La
-4.377 0.000 10.588 Er
-2.188 1.263 3.529 Er
2.188 1.263 3.529 Er
-2.265 -1.308 12.405 Te
0.000 -2.615 8.772 Te
-2.265 1.308 8.772 Te
0.000 0.000 5.304 Te
0.000 0.000 15.873 Te
2.265 -1.308 12.405 Te
0.000 2.615 12.405 Te
2.265 1.308 8.772 Te
```